No. 1
# Pt2Rh3W
Computed powder XRD pattern, Cu Kα (weighted mean of Kα1 and Kα2). Input: a crystal structure in Alexandria, relaxed with PBE.
Kinematic intensities with the Lorentz-polarization factor, no thermal factor.

Structure:
```
data_Pt2Rh3W
_symmetry_space_group_name_H-M 'P 1'
_symmetry_Int_Tables_number 1
_symmetry_space_group_name_Hall 'P 1'
_cell_length_a 2.7628
_cell_length_b 4.7953
_cell_length_c 6.9349
_cell_angle_alpha 102.67
_cell_angle_beta 90.12
_cell_angle_gamma 90.02
loop_
_atom_site_label
_atom_site_type_symbol
_atom_site_fract_x
_atom_site_fract_y
_atom_site_fract_z
Pt1 Pt 0.0011 0.2741 0.3291
Pt2 Pt 0.9989 0.7259 0.6709
Rh1 Rh 0.4993 0.2311 0.6784
Rh2 Rh 0.5000 0.0000 0.0000
Rh3 Rh 0.5007 0.7689 0.3216
W1 W 0.0000 0.5000 0.0000
```

Main lines, low angle first (10 to 90 degrees two-theta):
2theta  Rel. int.
25.4  12
37.8  48
38.7  15
40.0  72
41.6  100
41.9  47
43.6  36
44.0  75
67.7  32
67.8  15
72.0  12
83.0  13

---

No. 2
# Pm4TlPb5
Computed powder XRD pattern, Cu Kα (weighted mean of Kα1 and Kα2). Input: a crystal structure in Alexandria, relaxed with PBE.
Kinematic intensities with the Lorentz-polarization factor, no thermal factor.

Structure:
```
data_Pm4TlPb5
_symmetry_space_group_name_H-M 'P 1'
_symmetry_Int_Tables_number 1
_symmetry_space_group_name_Hall 'P 1'
_cell_length_a 11.3905
_cell_length_b 12.3793
_cell_length_c 4.4814
_cell_angle_alpha 90.00
_cell_angle_beta 90.00
_cell_angle_gamma 90.00
loop_
_atom_site_label
_atom_site_type_symbol
_atom_site_fract_x
_atom_site_fract_y
_atom_site_fract_z
Pm1 Pm 0.0534 0.2500 0.2504
Pm2 Pm 0.2500 0.0075 0.7500
Pm3 Pm 0.2500 0.4925 0.7500
Pm4 Pm 0.4466 0.2500 0.2504
Pm5 Pm 0.5534 0.7500 0.7496
Pm6 Pm 0.7500 0.5075 0.2500
Pm7 Pm 0.7500 0.9925 0.2500
Pm8 Pm 0.9466 0.7500 0.7496
Tl1 Tl 0.2500 0.7500 0.7472
Tl2 Tl 0.7500 0.2500 0.2528
Pb1 Pb 0.0616 0.5755 0.2499
Pb2 Pb 0.0616 0.9245 0.2499
Pb3 Pb 0.2500 0.2500 0.7504
Pb4 Pb 0.4384 0.5755 0.2499
Pb5 Pb 0.4384 0.9245 0.2499
Pb6 Pb 0.5616 0.0755 0.7501
Pb7 Pb 0.5616 0.4245 0.7501
Pb8 Pb 0.7500 0.7500 0.2496
Pb9 Pb 0.9384 0.0755 0.7501
Pb10 Pb 0.9384 0.4245 0.7501
```

Main lines, low angle first (10 to 90 degrees two-theta):
2theta  Rel. int.
29.4  51
30.9  100
32.0  33
33.5  34
36.1  22
40.2  28
42.8  14
45.5  13
52.3  17
54.6  17
60.5  14
64.3  15

---

No. 3
# TaGaGe
Computed powder XRD pattern, Cu Kα (weighted mean of Kα1 and Kα2). Input: a crystal structure in Alexandria, relaxed with PBE.
Kinematic intensities with the Lorentz-polarization factor, no thermal factor.

Structure:
```
data_TaGaGe
_symmetry_space_group_name_H-M 'P 1'
_symmetry_Int_Tables_number 1
_symmetry_space_group_name_Hall 'P 1'
_cell_length_a 3.6913
_cell_length_b 14.4084
_cell_length_c 3.7301
_cell_angle_alpha 90.00
_cell_angle_beta 90.00
_cell_angle_gamma 90.00
loop_
_atom_site_label
_atom_site_type_symbol
_atom_site_fract_x
_atom_site_fract_y
_atom_site_fract_z
Ta1 Ta 0.0000 0.1002 0.2500
Ta2 Ta 0.0000 0.8998 0.7500
Ta3 Ta 0.5000 0.3998 0.7500
Ta4 Ta 0.5000 0.6002 0.2500
Ga1 Ga 0.0000 0.2504 0.7500
Ga2 Ga 0.0000 0.7496 0.2500
Ga3 Ga 0.5000 0.2496 0.2500
Ga4 Ga 0.5000 0.7504 0.7500
Ge1 Ge 0.0000 0.4331 0.2500
Ge2 Ge 0.0000 0.5669 0.7500
Ge3 Ge 0.5000 0.0669 0.7500
Ge4 Ge 0.5000 0.9331 0.2500
```

Main lines, low angle first (10 to 90 degrees two-theta):
2theta  Rel. int.
24.9  9
26.9  17
37.5  22
39.1  100
39.7  10
48.8  14
49.4  14
63.1  9
63.6  9
68.7  9
84.7  11
85.5  11

---

No. 4
# PrAl4Ag6
Computed powder XRD pattern, Cu Kα (weighted mean of Kα1 and Kα2). Input: a crystal structure in Alexandria, relaxed with PBE.
Kinematic intensities with the Lorentz-polarization factor, no thermal factor.

Structure:
```
data_PrAl4Ag6
_symmetry_space_group_name_H-M 'P 1'
_symmetry_Int_Tables_number 1
_symmetry_space_group_name_Hall 'P 1'
_cell_length_a 7.4556
_cell_length_b 7.4556
_cell_length_c 4.3419
_cell_angle_alpha 90.00
_cell_angle_beta 90.00
_cell_angle_gamma 120.00
loop_
_atom_site_label
_atom_site_type_symbol
_atom_site_fract_x
_atom_site_fract_y
_atom_site_fract_z
Pr1 Pr 0.0000 0.0000 0.0000
Al1 Al 0.3333 0.6667 0.0000
Al2 Al 0.4020 0.2010 0.5000
Al3 Al 0.7990 0.2010 0.5000
Al4 Al 0.7990 0.5980 0.5000
Ag1 Ag 0.2025 0.4049 0.5000
Ag2 Ag 0.2025 0.7975 0.5000
Ag3 Ag 0.5355 0.0709 0.0000
Ag4 Ag 0.5355 0.4645 0.0000
Ag5 Ag 0.5951 0.7975 0.5000
Ag6 Ag 0.9291 0.4645 0.0000
```

Main lines, low angle first (10 to 90 degrees two-theta):
2theta  Rel. int.
24.7  24
27.6  18
31.6  12
34.6  100
36.8  24
41.6  23
42.0  17
42.5  22
48.9  14
56.8  13
66.7  14
71.4  11